No. 1
For ThSnH8Ru2, a crystal structure in Alexandria, relaxed with PBE gives the simulated powder diffraction line list in this record (Cu Kα (λ = 1.5418 Å)).

Lattice parameters (Å, degrees): 8.315 4.368 6.415 90.00 111.50 90.00
Space group C2/m (No. 12)
Symmetry-distinct sites (fractional):
Th 0.000 0.000 0.000
Sn 0.000 0.500 0.500
H 0.078 0.500 0.175
H 0.186 0.000 0.368
H 0.192 0.251 0.834
Ru 0.206 0.000 0.639

Most intense lines, 2θ = 10–90°, in order of rising 2θ:
23.4 deg, intensity 216, (1 1 0); 29.9 deg, intensity 219, (0 0 2); 30.0 deg, intensity 1000, (1 1 1); 30.4 deg, intensity 534, (2 0 -2); 34.7 deg, intensity 265, (1 1 -2); 38.5 deg, intensity 739, (3 1 -1); 41.3 deg, intensity 308, (0 2 0); 52.2 deg, intensity 242, (2 2 -2)



No. 2
For U2Sn2HRu4, a crystal structure in Alexandria, relaxed with PBE gives the simulated powder diffraction line list in this record (Cu Kα (λ = 1.5418 Å)).

Lattice parameters (Å, degrees): 6.416 6.416 7.078 90.00 90.00 90.00
Space group I4/mmm (No. 139)
Symmetry-distinct sites (fractional):
U 0.000 0.000 0.185
Sn 0.000 0.500 0.250
H 0.000 0.000 0.500
Ru 0.225 0.225 0.500

Most intense lines, 2θ = 10–90°, in order of rising 2θ:
33.7 deg, intensity 179, (2 1 1); 37.9 deg, intensity 1000, (2 0 2); 39.7 deg, intensity 565, (2 2 0); 40.7 deg, intensity 225, (1 0 3); 50.1 deg, intensity 141, (2 1 3); 57.5 deg, intensity 181, (4 0 0); 65.7 deg, intensity 170, (3 2 3); 70.9 deg, intensity 277, (4 2 2)



No. 3
For TaH3Ru3, a crystal structure in Alexandria, relaxed with PBE gives the simulated powder diffraction line list in this record (Cu Kα (λ = 1.5418 Å)).

Lattice parameters (Å, degrees): 4.027 4.027 4.027 90.00 90.00 90.00
Space group Pm-3m (No. 221)
Symmetry-distinct sites (fractional):
Ta 0.000 0.000 0.000
H 0.000 0.000 0.500
Ru 0.000 0.500 0.500

Most intense lines, 2θ = 10–90°, in order of rising 2θ:
22.1 deg, intensity 76, (1 0 0); 31.4 deg, intensity 60, (1 1 0); 38.7 deg, intensity 1000, (1 1 1); 45.0 deg, intensity 503, (2 0 0); 50.7 deg, intensity 36, (2 1 0); 65.6 deg, intensity 322, (2 2 0); 78.8 deg, intensity 374, (3 1 1); 83.1 deg, intensity 111, (2 2 2)



No. 4
For TaHRu2, a crystal structure in Alexandria, relaxed with PBE gives the simulated powder diffraction line list in this record (Cu Kα (λ = 1.5418 Å)).

Lattice parameters (Å, degrees): 4.396 10.386 4.426 90.00 90.00 90.00
Space group Cccm (No. 66)
Symmetry-distinct sites (fractional):
Ta 0.250 0.250 0.000
H 0.000 0.000 0.250
Ru 0.249 0.395 0.500

Most intense lines, 2θ = 10–90°, in order of rising 2θ:
17.1 deg, intensity 214, (0 2 0); 38.9 deg, intensity 1000, (1 3 1); 40.8 deg, intensity 237, (0 0 2); 41.1 deg, intensity 232, (2 0 0); 52.9 deg, intensity 210, (0 6 0); 59.2 deg, intensity 158, (2 0 2); 72.9 deg, intensity 179, (1 3 3); 73.3 deg, intensity 153, (3 3 1)



No. 5
For TaHRu3, a crystal structure in Alexandria, relaxed with PBE gives the simulated powder diffraction line list in this record (Cu Kα (λ = 1.5418 Å)).

Lattice parameters (Å, degrees): 5.279 5.343 5.556 105.99 105.02 115.17
Space group P1 (No. 1)
Symmetry-distinct sites (fractional):
Ta 0.000 0.000 0.000
Ta 0.493 0.958 0.396
H 0.234 0.481 0.190
H 0.508 0.238 0.189
Ru 0.041 0.018 0.515
Ru 0.452 0.940 0.870
Ru 0.535 0.517 0.525
Ru 0.540 0.522 0.022
Ru 0.958 0.451 0.868
Ru 0.960 0.450 0.368

Most intense lines, 2θ = 10–90°, in order of rising 2θ:
36.9 deg, intensity 185, (1 1 -2); 37.3 deg, intensity 363, (0 0 2); 40.2 deg, intensity 670, (2 -2 0); 41.6 deg, intensity 532, (0 2 0); 42.0 deg, intensity 1000, (2 0 0); 42.5 deg, intensity 749, (2 0 -2); 42.7 deg, intensity 333, (-1 1 2); 65.6 deg, intensity 170, (2 2 -2)



No. 6
For TbHRu, a crystal structure in Alexandria, relaxed with PBE gives the simulated powder diffraction line list in this record (Cu Kα (λ = 1.5418 Å)).

Lattice parameters (Å, degrees): 3.3745 3.3745 4.3997 90.00 90.00 120.00
Space group P3m1 (No. 156)
Symmetry-distinct sites (fractional):
Tb 0.0000 0.0000 0.0000
H 0.6667 0.3333 0.4986
Ru 0.3333 0.6667 0.4999

Most intense lines, 2θ = 10–90°, in order of rising 2θ:
30.6 deg, intensity 300, (1 0 0); 36.9 deg, intensity 1000, (1 0 1); 41.0 deg, intensity 164, (0 0 2); 52.0 deg, intensity 137, (1 0 2); 54.4 deg, intensity 215, (1 1 0); 67.5 deg, intensity 168, (2 0 1); 70.3 deg, intensity 197, (1 1 2); 72.1 deg, intensity 139, (0 1 3)



What did the first record say?
For ThSnH8Ru2, a crystal structure in Alexandria, relaxed with PBE gives the simulated powder diffraction line list in this record (Cu Kα (λ = 1.5418 Å)).

Lattice parameters (Å, degrees): 8.315 4.368 6.415 90.00 111.50 90.00
Space group C2/m (No. 12)
Symmetry-distinct sites (fractional):
Th 0.000 0.000 0.000
Sn 0.000 0.500 0.500
H 0.078 0.500 0.175
H 0.186 0.000 0.368
H 0.192 0.251 0.834
Ru 0.206 0.000 0.639

Most intense lines, 2θ = 10–90°, in order of rising 2θ:
23.4 deg, intensity 216, (1 1 0); 29.9 deg, intensity 219, (0 0 2); 30.0 deg, intensity 1000, (1 1 1); 30.4 deg, intensity 534, (2 0 -2); 34.7 deg, intensity 265, (1 1 -2); 38.5 deg, intensity 739, (3 1 -1); 41.3 deg, intensity 308, (0 2 0); 52.2 deg, intensity 242, (2 2 -2)